Record 1
This entry pairs a crystal structure of SiPN3 with its calculated PXRD pattern. Radiation: Cu Kα. Structure: a crystal structure in the Materials Project, relaxed with GGA-PBE.
Intensities are scaled so that the largest is 100.

Peak list (12 most intense, 2θ = 10–90°, in order of rising 2θ)
d_spacing	two_theta	I (rel.)
4.592	19.33	100.0
4.570	19.42	14.2
3.277	27.21	94.4
2.650	33.83	33.7
2.638	33.98	15.1
2.348	38.33	31.6
2.308	39.03	30.0
2.300	39.17	23.6
1.628	56.53	9.6
1.348	69.77	13.5
1.346	69.87	10.9
1.277	74.25	12.2

Cell and atoms:
Cell lengths 5.276, 4.697, 5.293 Å; angles 90.00, 119.73, 90.00 degrees
Space group P2_1 (No. 4)
Asymmetric unit:
Si  0.175  0.000  0.176 [2 per cell]
P  0.494  0.492  0.166 [2 per cell]
N  0.168  0.355  0.073 [2 per cell]
N  0.269  0.930  0.517 [2 per cell]
N  0.415  0.839  0.069 [2 per cell]

=====

Record 2
This entry pairs a crystal structure of TiPN3 with its calculated PXRD pattern. Radiation: Cu Kα. Structure: a crystal structure in the Materials Project, relaxed with GGA-PBE.
Intensities are scaled so that the largest is 100.

Peak list (12 most intense, 2θ = 10–90°, in order of rising 2θ)
d_spacing	two_theta	I (rel.)
4.612	19.25	29.0
3.167	28.18	52.6
2.899	30.84	72.8
2.844	31.46	100.0
2.505	35.85	82.1
2.476	36.29	99.3
2.444	36.77	67.4
2.044	44.31	32.4
2.013	45.04	25.6
1.563	59.12	26.9
1.443	64.57	41.7
1.416	65.99	41.5

Cell and atoms:
Cell lengths 9.417, 8.714, 4.991 Å; angles 90.00, 101.64, 90.00 degrees
Space group C2/c (No. 15)
Asymmetric unit:
Ti  0.000  0.104  0.250 [4 per cell]
Ti  0.000  0.282  0.750 [4 per cell]
P  0.200  0.414  0.294 [8 per cell]
N  0.119  0.266  0.131 [8 per cell]
N  0.120  0.095  0.639 [8 per cell]
N  0.146  0.435  0.592 [8 per cell]

=====

Record 3
This entry pairs a crystal structure of TiPN3 with its calculated PXRD pattern. Radiation: Cu Kα. Structure: a crystal structure in the Materials Project, relaxed with GGA-PBE.
Intensities are scaled so that the largest is 100.

Peak list (12 most intense, 2θ = 10–90°, in order of rising 2θ)
d_spacing	two_theta	I (rel.)
4.537	19.57	100.0
4.290	20.71	66.8
2.673	33.53	18.7
2.522	35.60	41.3
2.404	37.41	57.5
2.365	38.05	17.4
1.945	46.71	9.5
1.771	51.60	21.4
1.711	53.58	11.9
1.486	62.51	12.2
1.441	64.70	21.5
1.416	65.96	16.6

Cell and atoms:
Cell lengths 2.835, 5.346, 8.580 Å; angles 90.00, 90.00, 90.00 degrees
Space group Amm2 (No. 38)
Asymmetric unit:
Ti  0.000  0.000  0.000 [2 per cell]
P  0.500  0.000  0.653 [2 per cell]
N  0.000  0.000  0.765 [2 per cell]
N  0.500  0.245  0.052 [4 per cell]